The following is a simulated powder X-ray diffraction pattern of K3WF7. It was derived from the GGA+U geometry in Alexandria, using a wavelength of 1.5418 Å.
Intensities are scaled so that the largest is 100.

Structure:
```
data_K3WF7
_cell_length_a 8.8091
_cell_length_b 8.6429
_cell_length_c 6.6163
_cell_angle_alpha 90.00
_cell_angle_beta 128.19
_cell_angle_gamma 90.00
_symmetry_space_group_name_H-M 'C 1 m 1'
_symmetry_Int_Tables_number 8
_symmetry_space_group_name_Hall 'C -2y'
loop_
_atom_site_label
_atom_site_fract_x
_atom_site_fract_y
_atom_site_fract_z
K1 0.0000 0.0000 0.0000
K2 0.4951 0.2340 0.5462
W1 0.0361 0.5000 0.0918
F1 0.1058 0.2736 0.2277
F2 0.1862 0.5000 0.9427
F3 0.3066 0.5000 0.4669
F4 0.3424 0.1442 0.7884
F5 0.3730 0.0000 0.2224
```

Peak list (10 most intense, 2θ from 10° to 80°, by angle)
two_theta, d/Å, intensity
16.40, 5.404, 92.7
17.04, 5.205, 100.0
20.20, 4.397, 31.3
25.73, 3.462, 32.0
26.82, 3.324, 72.6
27.34, 3.262, 38.3
28.98, 3.081, 52.3
44.63, 2.030, 26.8
46.65, 1.947, 19.8
50.67, 1.802, 28.2